For Al7GaAg4, DFT lattice parameters and positions (PBE) gives the simulated powder diffraction line list in this record (a wavelength of 1.5418 Å).

Largest 10 diffraction maxima, in order of rising 2θ, 15° ≤ 2θ ≤ 90°:
2θ (°), I_rel
16.30, 42.5
22.89, 15.5
35.40, 21.7
36.65, 15.3
37.72, 100.0
39.78, 26.8
44.45, 59.9
63.24, 20.0
66.10, 17.5
77.36, 21.3

Structural model:
a b c (Å): 2.941 2.941 27.191
angles (deg): 90.00 90.00 120.00
Positions (direct):
Al1 0.000 0.000 0.000
Al2 0.000 0.000 0.247
Al3 0.000 0.000 0.753
Al4 0.333 0.667 0.165
Al5 0.333 0.667 0.413
Al6 0.667 0.333 0.587
Al7 0.667 0.333 0.835
Ga1 0.000 0.000 0.500
Ag1 0.333 0.667 0.670
Ag2 0.333 0.667 0.917
Ag3 0.667 0.333 0.083
Ag4 0.667 0.333 0.330